Diffraction record for Nd3AsO7. The powder XRD pattern is calculated, not measured: it uses DFT lattice parameters and positions (GGA-PBE) and Cu Kα, 1.54184 Å.
Neutral-atom scattering factors, no anomalous dispersion.

```
Nd3AsO7
1.0
3.8185 -5.3723 0.0000
3.8185 5.3723 0.0000
0.0000 0.0000 7.5978
Nd As O
6 2 14
direct
0.0246 0.0246 0.0000
0.0371 0.4977 0.2547
0.4977 0.0371 0.7453
0.5023 0.9629 0.2453
0.9629 0.5023 0.7547
0.9754 0.9754 0.5000
0.4994 0.4994 0.5000
0.5006 0.5006 0.0000
0.1296 0.8704 0.7500
0.1344 0.8656 0.2500
0.1984 0.4323 0.9754
0.2092 0.4500 0.5315
0.4323 0.1984 0.0246
0.4437 0.5563 0.2500
0.4500 0.2092 0.4685
0.5500 0.7908 0.9685
0.5563 0.4437 0.7500
0.5677 0.8016 0.5246
0.7908 0.5500 0.0315
0.8016 0.5677 0.4754
0.8656 0.1344 0.7500
0.8704 0.1296 0.2500
```

Largest 10 diffraction maxima, sorted by position, 10 to 90 degrees two-theta:
| 2θ/deg | Rel. int. |
| --- | --- |
| 28.68 | 100 |
| 28.78 | 100 |
| 33.29 | 65 |
| 47.63 | 12 |
| 47.84 | 72 |
| 56.61 | 23 |
| 56.79 | 51 |
| 77.41 | 15 |
| 79.79 | 9 |
| 89.30 | 11 |

Diffraction record for NdPaAsO2. The powder XRD pattern is calculated, not measured: it uses DFT lattice parameters and positions (GGA-PBE) and Cu Kα, 1.54184 Å.
Neutral-atom scattering factors, no anomalous dispersion.

```
NdPaAsO2
1.0
-1.9261 1.9261 6.2035
1.9261 -1.9261 6.2035
1.9261 1.9261 -6.2035
Nd Pa As O
1 1 1 2
direct
0.0000 0.0000 0.0000
0.7133 0.7133 0.0000
0.3554 0.3554 0.0000
0.1181 0.6181 0.5000
0.6181 0.1181 0.5000
```

Largest 10 diffraction maxima, sorted by position, 10 to 90 degrees two-theta:
| 2θ/deg | Rel. int. |
| --- | --- |
| 14.28 | 8 |
| 24.19 | 31 |
| 28.78 | 9 |
| 31.74 | 100 |
| 32.88 | 46 |
| 44.25 | 19 |
| 47.19 | 22 |
| 55.82 | 14 |
| 57.21 | 10 |
| 57.99 | 37 |

Diffraction record for PmNdAs2O8. The powder XRD pattern is calculated, not measured: it uses DFT lattice parameters and positions (GGA-PBE) and Cu Kα, 1.54184 Å.
Neutral-atom scattering factors, no anomalous dispersion.

```
PmNdAs2O8
1.0
-2.5791 2.5791 5.8488
2.5791 -2.5791 5.8488
2.5791 2.5791 -5.8488
Pm Nd As O
1 1 2 8
direct
0.0000 0.0000 0.0000
0.7500 0.2500 0.5000
0.2500 0.7500 0.5000
0.5000 0.5000 0.0000
0.0336 0.9203 0.6104
0.0797 0.6901 0.1133
0.1742 0.2818 0.6109
0.3099 0.4232 0.3896
0.4367 0.8258 0.1076
0.5768 0.9664 0.8867
0.6709 0.5633 0.3891
0.7182 0.3291 0.8924
```

Largest 10 diffraction maxima, sorted by position, 10 to 90 degrees two-theta:
| 2θ/deg | Rel. int. |
| --- | --- |
| 18.80 | 9 |
| 28.85 | 100 |
| 30.57 | 17 |
| 34.78 | 21 |
| 46.98 | 29 |
| 50.01 | 12 |
| 53.28 | 18 |
| 58.76 | 28 |
| 59.76 | 12 |
| 76.08 | 13 |

Diffraction record for PrNdAs2O8. The powder XRD pattern is calculated, not measured: it uses DFT lattice parameters and positions (GGA-PBE) and Cu Kα, 1.54184 Å.
Neutral-atom scattering factors, no anomalous dispersion.

```
PrNdAs2O8
1.0
-2.5925 2.5925 5.8957
2.5925 -2.5925 5.8957
2.5925 2.5925 -5.8957
Pr Nd As O
1 1 2 8
direct
0.0000 0.0000 0.0000
0.2500 0.7500 0.5000
0.5000 0.5000 0.0000
0.7500 0.2500 0.5000
0.2864 0.6699 0.1120
0.3301 0.4421 0.6165
0.4254 0.0346 0.1142
0.5579 0.1744 0.8880
0.6888 0.5746 0.6092
0.8256 0.7136 0.3835
0.9204 0.3112 0.8858
0.9654 0.0796 0.3908
```

Largest 10 diffraction maxima, sorted by position, 10 to 90 degrees two-theta:
| 2θ/deg | Rel. int. |
| --- | --- |
| 18.70 | 8 |
| 28.67 | 100 |
| 30.32 | 17 |
| 34.60 | 21 |
| 46.66 | 29 |
| 49.74 | 12 |
| 52.86 | 18 |
| 58.42 | 28 |
| 59.37 | 12 |
| 75.52 | 13 |

Diffraction record for NdScAs2O8. The powder XRD pattern is calculated, not measured: it uses DFT lattice parameters and positions (GGA-PBE) and Cu Kα, 1.54184 Å.
Neutral-atom scattering factors, no anomalous dispersion.

```
NdScAs2O8
1.0
5.4748 0.0000 0.0000
-2.7374 4.7414 0.0000
0.0000 0.0000 6.8851
Nd Sc As O
1 1 2 8
direct
0.0000 0.0000 0.0000
0.0000 0.0000 0.5000
0.3333 0.6667 0.2148
0.6667 0.3333 0.7852
0.1615 0.3230 0.2931
0.1615 0.8385 0.2931
0.3230 0.1615 0.7069
0.3333 0.6667 0.9690
0.6667 0.3333 0.0310
0.6770 0.8385 0.2931
0.8385 0.1615 0.7069
0.8385 0.6770 0.7069
```

Largest 10 diffraction maxima, sorted by position, 10 to 90 degrees two-theta:
| 2θ/deg | Rel. int. |
| --- | --- |
| 12.86 | 43 |
| 18.72 | 41 |
| 22.77 | 100 |
| 32.13 | 81 |
| 32.71 | 88 |
| 35.28 | 37 |
| 43.83 | 27 |
| 46.51 | 48 |
| 52.79 | 21 |
| 58.02 | 33 |

Diffraction record for SrNdAs2O8. The powder XRD pattern is calculated, not measured: it uses DFT lattice parameters and positions (GGA-PBE) and Cu Kα, 1.54184 Å.
Neutral-atom scattering factors, no anomalous dispersion.

```
SrNdAs2O8
1.0
-2.6202 2.6202 5.9961
2.6202 -2.6202 5.9961
2.6202 2.6202 -5.9961
Sr Nd As O
1 1 2 8
direct
0.0000 0.0000 0.0000
0.7500 0.2500 0.5000
0.2500 0.7500 0.5000
0.5000 0.5000 0.0000
0.0383 0.9231 0.6089
0.0769 0.6858 0.1152
0.1738 0.2991 0.6320
0.3142 0.4294 0.3911
0.4582 0.8262 0.1253
0.5706 0.9617 0.8848
0.6671 0.5418 0.3680
0.7009 0.3329 0.8747
```

Largest 10 diffraction maxima, sorted by position, 10 to 90 degrees two-theta:
| 2θ/deg | Rel. int. |
| --- | --- |
| 28.31 | 100 |
| 29.80 | 17 |
| 34.22 | 20 |
| 46.00 | 29 |
| 49.18 | 11 |
| 51.98 | 18 |
| 57.72 | 26 |
| 58.57 | 13 |
| 72.67 | 8 |
| 74.36 | 13 |

> Number 2 is which compound?

NdPaAsO2

> Number 4 is which compound?

PrNdAs2O8